Ho2Tc3Ge4: computed X-ray powder pattern (CuKα), based on a structure optimized by DFT (PBE).
Intensities are scaled so that the largest is 100.

The 10 most intense peaks (2θ from 15° to 90°), in order of rising 2θ:
d = 3.182 Å, rel. 25.3; d = 2.722 Å, rel. 25.0; d = 2.657 Å, rel. 25.4; d = 2.355 Å, rel. 28.0; d = 2.298 Å, rel. 100.0; d = 2.212 Å, rel. 32.3; d = 2.158 Å, rel. 23.6; d = 2.083 Å, rel. 30.1; d = 1.476 Å, rel. 24.4; d = 1.334 Å, rel. 22.9

Structure:
a = 7.999 Å, b = 7.023 Å, c = 5.430 Å
α = 78.80°, β = 59.46°, γ = 41.75°
Sites, in units of the cell vectors:
Ho 0.135 0.135 0.865
Ho 0.865 0.865 0.135
Tc 0.000 0.000 0.500
Tc 0.500 0.500 0.000
Tc 0.500 0.500 0.500
Ge 0.174 0.503 0.497
Ge 0.497 0.826 0.174
Ge 0.503 0.174 0.826
Ge 0.826 0.497 0.503

=====

Pu2Ge3Rh5: computed X-ray powder pattern (CuKα), based on a structure optimized by DFT (PBE).
Intensities are scaled so that the largest is 100.

The 10 most intense peaks (2θ from 15° to 90°), in order of rising 2θ:
d = 3.722 Å, rel. 13.8; d = 2.584 Å, rel. 23.1; d = 2.509 Å, rel. 54.5; d = 2.464 Å, rel. 100.0; d = 2.343 Å, rel. 27.3; d = 2.315 Å, rel. 36.7; d = 2.078 Å, rel. 35.0; d = 2.069 Å, rel. 13.7; d = 1.555 Å, rel. 15.5; d = 1.368 Å, rel. 20.4

Structure:
a = 12.711 Å, b = 12.711 Å, c = 6.575 Å
α = 90.00°, β = 90.00°, γ = 161.18°
Sites, in units of the cell vectors:
Pu 0.014 0.986 0.500
Pu 0.327 0.673 0.511
Pu 0.673 0.327 0.011
Pu 0.986 0.014 0.000
Ge 0.112 0.888 0.275
Ge 0.273 0.727 0.023
Ge 0.448 0.552 0.280
Ge 0.552 0.448 0.780
Ge 0.727 0.273 0.523
Ge 0.888 0.112 0.775
Rh 0.103 0.897 0.853
Rh 0.208 0.792 0.736
Rh 0.209 0.791 0.313
Rh 0.371 0.629 0.024
Rh 0.442 0.558 0.665
Rh 0.558 0.442 0.165
Rh 0.629 0.371 0.524
Rh 0.791 0.209 0.813
Rh 0.792 0.208 0.236
Rh 0.897 0.103 0.353

=====

HfNbMo14: computed X-ray powder pattern (CuKα), based on a structure optimized by DFT (PBE).
Intensities are scaled so that the largest is 100.

The 10 most intense peaks (2θ from 15° to 90°), in order of rising 2θ:
d = 5.203 Å, rel. 0.6; d = 4.510 Å, rel. 1.3; d = 2.604 Å, rel. 0.7; d = 2.501 Å, rel. 0.6; d = 2.255 Å, rel. 100.0; d = 1.596 Å, rel. 10.9; d = 1.592 Å, rel. 5.4; d = 1.302 Å, rel. 33.0; d = 1.128 Å, rel. 3.6; d = 1.127 Å, rel. 7.2

Structure:
a = 5.523 Å, b = 5.523 Å, c = 9.026 Å
α = 90.00°, β = 90.00°, γ = 109.59°
Sites, in units of the cell vectors:
Hf 0.000 0.000 0.000
Nb 0.500 0.500 0.000
Mo 0.000 0.000 0.500
Mo 0.000 0.500 0.000
Mo 0.000 0.500 0.500
Mo 0.250 0.750 0.252
Mo 0.250 0.750 0.748
Mo 0.251 0.251 0.258
Mo 0.251 0.251 0.742
Mo 0.500 0.000 0.000
Mo 0.500 0.000 0.500
Mo 0.500 0.500 0.500
Mo 0.749 0.749 0.258
Mo 0.749 0.749 0.742
Mo 0.750 0.250 0.252
Mo 0.750 0.250 0.748

=====

Cs3U2Te5: computed X-ray powder pattern (CuKα), based on a structure optimized by DFT (PBE).
Intensities are scaled so that the largest is 100.

The 10 most intense peaks (2θ from 15° to 90°), in order of rising 2θ:
d = 3.478 Å, rel. 61.8; d = 3.207 Å, rel. 24.5; d = 3.180 Å, rel. 25.7; d = 3.034 Å, rel. 100.0; d = 2.849 Å, rel. 91.0; d = 2.694 Å, rel. 36.5; d = 2.041 Å, rel. 38.9; d = 1.970 Å, rel. 18.7; d = 1.760 Å, rel. 17.5; d = 1.318 Å, rel. 20.0

Structure:
a = 14.341 Å, b = 14.341 Å, c = 4.082 Å
α = 90.00°, β = 90.00°, γ = 90.00°
Sites, in units of the cell vectors:
Cs 0.000 0.000 0.000
Cs 0.182 0.318 0.000
Cs 0.318 0.818 0.000
Cs 0.500 0.500 0.000
Cs 0.682 0.182 0.000
Cs 0.818 0.682 0.000
U 0.117 0.617 0.000
U 0.383 0.117 0.000
U 0.617 0.883 0.000
U 0.883 0.383 0.000
Te 0.000 0.500 0.500
Te 0.070 0.771 0.500
Te 0.229 0.070 0.500
Te 0.271 0.570 0.500
Te 0.430 0.271 0.500
Te 0.500 0.000 0.500
Te 0.570 0.729 0.500
Te 0.729 0.430 0.500
Te 0.771 0.930 0.500
Te 0.930 0.229 0.500

=====

La6Cd2Co: computed X-ray powder pattern (CuKα), based on a structure optimized by DFT (PBE).
Intensities are scaled so that the largest is 100.

The 10 most intense peaks (2θ from 15° to 90°), in order of rising 2θ:
d = 2.994 Å, rel. 94.2; d = 2.911 Å, rel. 100.0; d = 2.732 Å, rel. 71.7; d = 2.640 Å, rel. 32.4; d = 2.345 Å, rel. 36.9; d = 1.899 Å, rel. 26.1; d = 1.887 Å, rel. 17.4; d = 1.637 Å, rel. 30.4; d = 1.596 Å, rel. 28.9; d = 1.571 Å, rel. 20.8

Structure:
a = 3.774 Å, b = 9.145 Å, c = 9.145 Å
α = 119.97°, β = 90.00°, γ = 90.00°
Sites, in units of the cell vectors:
La 0.000 0.000 0.000
La 0.000 0.229 0.457
La 0.000 0.457 0.229
La 0.500 0.229 0.827
La 0.500 0.631 0.631
La 0.500 0.827 0.229
Cd 0.000 0.562 0.896
Cd 0.000 0.896 0.562
Co 0.500 0.228 0.228

=====

Na5Tl: computed X-ray powder pattern (CuKα), based on a structure optimized by DFT (PBE).
Intensities are scaled so that the largest is 100.

The 10 most intense peaks (2θ from 15° to 90°), in order of rising 2θ:
d = 5.561 Å, rel. 63.4; d = 5.237 Å, rel. 51.8; d = 4.393 Å, rel. 66.9; d = 3.942 Å, rel. 49.5; d = 3.510 Å, rel. 39.9; d = 2.985 Å, rel. 27.1; d = 2.930 Å, rel. 100.0; d = 2.902 Å, rel. 84.5; d = 2.618 Å, rel. 32.1; d = 2.584 Å, rel. 49.6

Structure:
a = 6.344 Å, b = 6.344 Å, c = 7.301 Å
α = 107.41°, β = 107.41°, γ = 44.28°
Sites, in units of the cell vectors:
Na 0.000 0.000 0.000
Na 0.334 0.334 0.654
Na 0.343 0.343 0.187
Na 0.657 0.657 0.813
Na 0.666 0.666 0.346
Tl 0.000 0.000 0.500

=====

Li5Sb3Pb2: computed X-ray powder pattern (CuKα), based on a structure optimized by DFT (PBE).
Intensities are scaled so that the largest is 100.

The 10 most intense peaks (2θ from 15° to 90°), in order of rising 2θ:
d = 4.114 Å, rel. 38.1; d = 4.016 Å, rel. 52.3; d = 3.850 Å, rel. 35.5; d = 3.118 Å, rel. 30.3; d = 3.041 Å, rel. 100.0; d = 2.802 Å, rel. 53.3; d = 2.737 Å, rel. 46.6; d = 2.202 Å, rel. 45.5; d = 2.173 Å, rel. 46.4; d = 2.135 Å, rel. 30.6

Structure:
a = 9.333 Å, b = 9.333 Å, c = 6.236 Å
α = 109.43°, β = 109.43°, γ = 80.94°
Sites, in units of the cell vectors:
Li 0.000 0.000 0.250
Li 0.000 0.000 0.750
Li 0.253 0.428 0.842
Li 0.267 0.733 0.750
Li 0.268 0.732 0.250
Li 0.428 0.253 0.342
Li 0.572 0.747 0.658
Li 0.732 0.268 0.750
Li 0.733 0.267 0.250
Li 0.747 0.572 0.158
Sb 0.006 0.721 0.363
Sb 0.279 0.994 0.137
Sb 0.499 0.501 0.750
Sb 0.501 0.499 0.250
Sb 0.721 0.006 0.863
Sb 0.994 0.279 0.637
Pb 0.090 0.361 0.226
Pb 0.361 0.090 0.726
Pb 0.639 0.910 0.274
Pb 0.910 0.639 0.774

=====

Nd2ThAs2Se2: computed X-ray powder pattern (CuKα), based on a structure optimized by DFT (PBE).
Intensities are scaled so that the largest is 100.

The 10 most intense peaks (2θ from 15° to 90°), in order of rising 2θ:
d = 3.958 Å, rel. 94.5; d = 3.689 Å, rel. 43.2; d = 2.799 Å, rel. 100.0; d = 2.606 Å, rel. 92.4; d = 2.230 Å, rel. 24.3; d = 1.979 Å, rel. 36.8; d = 1.907 Å, rel. 74.2; d = 1.770 Å, rel. 20.5; d = 1.373 Å, rel. 28.1; d = 1.233 Å, rel. 21.7

Structure:
a = 8.357 Å, b = 8.357 Å, c = 8.357 Å
α = 140.87°, β = 140.87°, γ = 56.53°
Sites, in units of the cell vectors:
Nd 0.119 0.119 0.000
Nd 0.881 0.881 0.000
Th 0.500 0.500 0.000
As 0.000 0.500 0.500
As 0.500 0.000 0.500
Se 0.305 0.305 0.000
Se 0.695 0.695 0.000

=====

Ba2HSeCl: computed X-ray powder pattern (CuKα), based on a structure optimized by DFT (PBE).
Intensities are scaled so that the largest is 100.

The 10 most intense peaks (2θ from 15° to 90°), in order of rising 2θ:
d = 4.697 Å, rel. 11.7; d = 3.806 Å, rel. 13.6; d = 2.957 Å, rel. 100.0; d = 2.691 Å, rel. 39.1; d = 2.348 Å, rel. 13.2; d = 1.903 Å, rel. 13.7; d = 1.769 Å, rel. 21.7; d = 1.600 Å, rel. 30.9; d = 1.479 Å, rel. 12.0; d = 1.448 Å, rel. 11.1

Structure:
a = 5.383 Å, b = 5.383 Å, c = 4.697 Å
α = 90.00°, β = 90.00°, γ = 90.00°
Sites, in units of the cell vectors:
Ba 0.000 0.500 0.000
Ba 0.500 0.000 0.000
H 0.000 0.000 0.000
Se 0.500 0.500 0.500
Cl 0.000 0.000 0.500

=====

Sr2Cd4Hg5: computed X-ray powder pattern (CuKα), based on a structure optimized by DFT (PBE).
Intensities are scaled so that the largest is 100.

The 10 most intense peaks (2θ from 15° to 90°), in order of rising 2θ:
d = 5.279 Å, rel. 31.5; d = 3.110 Å, rel. 84.9; d = 2.854 Å, rel. 49.8; d = 2.638 Å, rel. 100.0; d = 2.502 Å, rel. 38.1; d = 2.492 Å, rel. 37.5; d = 2.441 Å, rel. 54.7; d = 2.324 Å, rel. 35.8; d = 2.207 Å, rel. 21.6; d = 1.566 Å, rel. 17.8

Structure:
a = 7.591 Å, b = 7.591 Å, c = 9.766 Å
α = 129.78°, β = 129.78°, γ = 48.74°
Sites, in units of the cell vectors:
Sr 0.001 0.001 0.223
Sr 0.999 0.999 0.777
Cd 0.336 0.336 0.082
Cd 0.338 0.338 0.593
Cd 0.662 0.662 0.407
Cd 0.664 0.664 0.918
Hg 0.071 0.585 0.328
Hg 0.415 0.929 0.672
Hg 0.500 0.500 0.000
Hg 0.585 0.071 0.328
Hg 0.929 0.415 0.672